1.
Starting from a crystal structure in Alexandria, relaxed with PBE, the XRD peak list of LiFeN was computed for Cu Kα.
Kinematic intensities with the Lorentz-polarization factor, no thermal factor.

Crystal structure
Unit cell a=10.168 b=2.914 c=4.014 alpha=90.00 beta=97.34 gamma=90.00
Space group Cm (No. 8)
One atom of each set of equivalent atoms:
Li (0.000, 0.000, 0.000) x2
Li (0.072, 0.500, 0.507) x2
Fe (0.259, 0.000, 0.889) x2
Fe (0.297, 0.500, 0.348) x2
N (0.158, 0.500, 0.985) x2
N (0.395, 0.000, 0.256) x2

The 12 most intense peaks (10° ≤ 2θ ≤ 90°), sorted by position:
d_spacing	Rel. int.
5.042	100
3.981	6
3.339	12
2.521	10
2.329	24
2.253	20
1.999	25
1.991	9
1.862	12
1.776	9
1.591	5
1.477	8

=====

2.
Starting from a crystal structure in Alexandria, relaxed with PBE, the XRD peak list of RbLiFeN2 was computed for Cu Kα.
Kinematic intensities with the Lorentz-polarization factor, no thermal factor.

Crystal structure
Unit cell a=3.743 b=3.743 c=4.618 alpha=90.00 beta=90.00 gamma=90.00
Space group P4/mmm (No. 123)
One atom of each set of equivalent atoms:
Rb (0.000, 0.000, 0.000) x1
Li (0.500, 0.500, 0.000) x1
Fe (0.500, 0.500, 0.500) x1
N (0.000, 0.500, 0.500) x2

The 12 most intense peaks (10° ≤ 2θ ≤ 90°), sorted by position:
d_spacing	Rel. int.
2.908	100
2.647	30
2.309	20
2.296	9
1.871	20
1.740	17
1.574	29
1.454	17
1.424	10
1.323	6
1.148	7
1.133	10